Theoretical X-ray powder pattern
Compound: Li12Cd6Ni
Radiation: copper Kα
Structure: a cell relaxed with GGA-PBE

Structural model:
abc: 7.099 7.099 7.099
angles: 90.31 90.31 90.31
Sites, in units of the cell vectors:
Li1 0.026 0.936 0.304
Li2 0.064 0.696 0.974
Li3 0.133 0.460 0.355
Li4 0.304 0.026 0.936
Li5 0.355 0.133 0.460
Li6 0.460 0.355 0.133
Li7 0.540 0.645 0.867
Li8 0.645 0.867 0.540
Li9 0.696 0.974 0.064
Li10 0.867 0.540 0.645
Li11 0.936 0.304 0.026
Li12 0.974 0.064 0.696
Cd1 0.229 0.384 0.759
Cd2 0.241 0.771 0.616
Cd3 0.384 0.759 0.229
Cd4 0.616 0.241 0.771
Cd5 0.759 0.229 0.384
Cd6 0.771 0.616 0.241
Ni1 0.500 0.500 0.500

Main lines, sorted by position (2θ from 10° to 90°):
d 7.099, 2θ 12.47, rel. 69; d 5.016, 2θ 17.68, rel. 92; d 4.076, 2θ 21.80, rel. 50; d 3.549, 2θ 25.09, rel. 48; d 3.181, 2θ 28.05, rel. 37; d 3.168, 2θ 28.17, rel. 55; d 2.371, 2θ 37.95, rel. 100; d 2.248, 2θ 40.10, rel. 52; d 2.241, 2θ 40.24, rel. 32; d 1.889, 2θ 48.17, rel. 21